[1]
Ac2AsPd: theoretical powder X-ray diffraction pattern (Cu Kα (weighted mean of Kα1 and Kα2)), based on the PBE geometry in Alexandria.
No peak broadening, texture or thermal motion is included.

Largest 10 diffraction maxima, by intensity, 2θ from 10° to 90°:
2θ = 28.09°, I = 100; 2θ = 39.52°, I = 40; 2θ = 40.75°, I = 37; 2θ = 64.84°, I = 23; 2θ = 24.50°, I = 22; 2θ = 50.22°, I = 21; 2θ = 66.59°, I = 18; 2θ = 73.35°, I = 13; 2θ = 58.06°, I = 13; 2θ = 48.12°, I = 12

Structure:
Unit cell a=4.4285 b=4.4285 c=22.6889 alpha=90.00 beta=90.00 gamma=120.00
Space group R-3m (No. 166, hexagonal axes)
One atom of each set of equivalent atoms:
Ac 0.0000 0.0000 0.2488 x6
As 0.0000 0.0000 0.0000 x3
Pd 0.0000 0.0000 0.5000 x3



[2]
Ac2PmAs3Pd4: theoretical powder X-ray diffraction pattern (Cu Kα (weighted mean of Kα1 and Kα2)), based on the PBE geometry in Alexandria.
No peak broadening, texture or thermal motion is included.

Largest 10 diffraction maxima, by intensity, 2θ from 10° to 90°:
2θ = 32.58°, I = 100; 2θ = 40.88°, I = 49; 2θ = 30.76°, I = 33; 2θ = 37.12°, I = 24; 2θ = 69.22°, I = 23; 2θ = 52.04°, I = 21; 2θ = 59.19°, I = 17; 2θ = 25.37°, I = 13; 2θ = 56.40°, I = 13; 2θ = 44.15°, I = 13

Structure:
Unit cell a=4.4150 b=4.4150 c=11.5824 alpha=90.00 beta=90.00 gamma=90.00
Space group P-4m2 (No. 115)
One atom of each set of equivalent atoms:
Ac 0.0000 0.5000 0.2141 x2
Pm 0.0000 0.0000 0.5000 x1
As 0.0000 0.5000 0.8759 x2
As 0.5000 0.5000 0.5000 x1
Pd 0.0000 0.0000 0.0000 x1
Pd 0.0000 0.5000 0.6583 x2
Pd 0.5000 0.5000 0.0000 x1



[3]
AcPrAs2Pd2: theoretical powder X-ray diffraction pattern (Cu Kα (weighted mean of Kα1 and Kα2)), based on the PBE geometry in Alexandria.
No peak broadening, texture or thermal motion is included.

Largest 10 diffraction maxima, by intensity, 2θ from 10° to 90°:
2θ = 31.98°, I = 100; 2θ = 40.59°, I = 48; 2θ = 61.76°, I = 27; 2θ = 52.58°, I = 25; 2θ = 68.46°, I = 22; 2θ = 44.46°, I = 12; 2θ = 23.10°, I = 11; 2θ = 73.99°, I = 9; 2θ = 73.84°, I = 8; 2θ = 25.59°, I = 6

Structure:
Unit cell a=4.4457 b=4.4457 c=8.1509 alpha=90.00 beta=90.00 gamma=120.00
Space group P-3m1 (No. 164)
One atom of each set of equivalent atoms:
Ac 0.0000 0.0000 0.0000 x1
Pr 0.0000 0.0000 0.5000 x1
As 0.3333 0.6667 0.2645 x2
Pd 0.3333 0.6667 0.7419 x2